For Tm2ScIn3Pt2, a cell relaxed with GGA-PBE gives the theoretical XRD peak list in this record (a wavelength of 1.5418 Å).

Atomic structure:
a b c (Å): 3.5111 13.2363 7.6208
angles (deg): 90.00 90.00 90.00
Space group Amm2 (No. 38)
Asymmetric unit:
Tm1 0.0000 0.2107 0.0000 x4
Sc1 0.0000 0.0000 0.6337 x2
In1 0.5000 0.0000 0.9738 x2
In2 0.5000 0.1140 0.3291 x4
Pt1 0.5000 0.1627 0.7086 x4

Main lines, by angle (15 to 90 degrees two-theta):
| 2θ/deg | intensity | index |
| --- | --- | --- |
| 34.72 | 100 | 1 0 2 |
| 35.95 | 79 | 0 4 2 |
| 37.37 | 68 | 1 2 2 |
| 40.98 | 24 | 0 3 3 |
| 44.51 | 23 | 1 5 1 |
| 52.10 | 16 | 2 0 0 |
| 56.61 | 13 | 1 7 1 |
| 64.92 | 28 | 2 4 2 |
| 67.23 | 15 | 1 7 3 |
| 70.65 | 20 | 1 3 5 |

For Tb2In6Si4Pt, a cell relaxed with GGA-PBE gives the theoretical XRD peak list in this record (a wavelength of 1.5418 Å).

Atomic structure:
a b c (Å): 4.4551 4.4551 53.0790
angles (deg): 90.00 90.00 120.00
Space group R-3m (No. 166, hexagonal axes)
Asymmetric unit:
Tb1 0.0000 0.0000 0.0650 x6
In1 0.0000 0.0000 0.1843 x6
In2 0.0000 0.0000 0.3141 x6
In3 0.0000 0.0000 0.4465 x6
Si1 0.0000 0.0000 0.2395 x6
Si2 0.0000 0.0000 0.3676 x6
Pt1 0.0000 0.0000 0.5000 x3

Main lines, by angle (15 to 90 degrees two-theta):
| 2θ/deg | intensity | index |
| --- | --- | --- |
| 24.55 | 13 | 0 1 5 |
| 25.91 | 26 | 1 0 7 |
| 26.73 | 75 | 0 1 8 |
| 35.69 | 100 | 1 0 16 |
| 40.50 | 91 | 1 1 0 |
| 49.19 | 14 | 2 0 8 |
| 54.94 | 13 | 1 1 21 |
| 55.07 | 28 | 0 2 16 |
| 70.55 | 27 | 2 1 16 |
| 73.66 | 15 | 3 0 0 |

For Sr2In3SnPt2, a cell relaxed with GGA-PBE gives the theoretical XRD peak list in this record (a wavelength of 1.5418 Å).

Atomic structure:
a b c (Å): 11.1580 4.5212 7.8591
angles (deg): 90.00 90.38 90.00
Space group Cm (No. 8)
Asymmetric unit:
Sr1 0.0000 0.0000 0.0000 x2
Sr2 0.1304 0.0000 0.4987 x2
In1 0.2130 0.5000 0.1962 x2
In2 0.4156 0.0000 0.2996 x2
In3 0.4201 0.0000 0.6949 x2
Sn1 0.2140 0.5000 0.8013 x2
Pt1 0.2811 0.0000 0.9932 x2
Pt2 0.3481 0.5000 0.5016 x2

Main lines, by angle (15 to 90 degrees two-theta):
| 2θ/deg | intensity | index |
| --- | --- | --- |
| 15.89 | 87 | 2 0 0 |
| 31.16 | 75 | 1 1 -2 |
| 31.24 | 62 | 1 1 2 |
| 33.15 | 65 | 3 1 -1 |
| 33.27 | 61 | 3 1 1 |
| 38.74 | 36 | 3 1 -2 |
| 38.94 | 43 | 3 1 2 |
| 39.88 | 73 | 0 2 0 |
| 40.61 | 100 | 1 1 -3 |
| 61.70 | 39 | 7 1 0 |

For Tb2In16Pt7, a cell relaxed with GGA-PBE gives the theoretical XRD peak list in this record (a wavelength of 1.5418 Å).

Atomic structure:
a b c (Å): 12.2660 20.2146 4.4402
angles (deg): 90.00 90.00 90.00
Space group Cmmm (No. 65)
Asymmetric unit:
Tb1 0.1695 0.0000 0.0000 x4
In1 0.0000 0.0731 0.5000 x4
In2 0.1241 0.1626 0.0000 x8
In3 0.1305 0.3869 0.0000 x8
In4 0.1319 0.5000 0.5000 x4
In5 0.1359 0.2767 0.5000 x8
Pt1 0.0000 0.2758 0.0000 x4
Pt2 0.0000 0.5000 0.0000 x2
Pt3 0.2236 0.1079 0.5000 x8

Main lines, by angle (15 to 90 degrees two-theta):
| 2θ/deg | intensity | index |
| --- | --- | --- |
| 22.80 | 32 | 2 4 0 |
| 24.75 | 31 | 2 0 1 |
| 30.79 | 24 | 1 5 1 |
| 33.39 | 25 | 0 6 1 |
| 35.54 | 21 | 0 8 0 |
| 37.26 | 87 | 3 5 1 |
| 39.94 | 100 | 4 4 1 |
| 40.64 | 58 | 0 0 2 |
| 40.84 | 21 | 1 9 0 |
| 67.85 | 40 | 7 9 0 |

For Tb2TmIn3Pt2, a cell relaxed with GGA-PBE gives the theoretical XRD peak list in this record (a wavelength of 1.5418 Å).

Atomic structure:
a b c (Å): 3.6296 13.3233 7.7008
angles (deg): 90.00 90.00 90.00
Space group Amm2 (No. 38)
Asymmetric unit:
Tb1 0.0000 0.2103 0.0000 x4
Tm1 0.0000 0.0000 0.6318 x2
In1 0.5000 0.0000 0.9783 x2
In2 0.5000 0.1145 0.3263 x4
Pt1 0.5000 0.1641 0.7090 x4

Main lines, by angle (15 to 90 degrees two-theta):
| 2θ/deg | intensity | index |
| --- | --- | --- |
| 33.95 | 100 | 1 3 1 |
| 35.64 | 69 | 0 1 3 |
| 36.61 | 69 | 1 4 0 |
| 40.61 | 19 | 0 6 0 |
| 49.29 | 16 | 0 7 1 |
| 50.28 | 17 | 2 0 0 |
| 55.81 | 21 | 1 5 3 |
| 63.14 | 26 | 2 1 3 |
| 66.33 | 17 | 1 7 3 |
| 69.64 | 23 | 1 6 4 |

For YTm2In3Pt2, a cell relaxed with GGA-PBE gives the theoretical XRD peak list in this record (a wavelength of 1.5418 Å).

Atomic structure:
a b c (Å): 3.6002 13.3217 7.6672
angles (deg): 90.00 90.00 90.00
Space group Amm2 (No. 38)
Asymmetric unit:
Y1 0.0000 0.0000 0.0000 x2
Tm1 0.0000 0.2108 0.3694 x4
In1 0.5000 0.0000 0.3502 x2
In2 0.5000 0.1162 0.6950 x4
Pt1 0.5000 0.1693 0.0813 x4

Main lines, by angle (15 to 90 degrees two-theta):
| 2θ/deg | intensity | index |
| --- | --- | --- |
| 34.14 | 100 | 1 0 2 |
| 35.72 | 73 | 0 5 1 |
| 36.80 | 69 | 1 2 2 |
| 40.71 | 21 | 0 3 3 |
| 43.93 | 19 | 1 5 1 |
| 50.72 | 17 | 2 0 0 |
| 55.98 | 13 | 1 7 1 |
| 63.57 | 27 | 2 5 1 |
| 66.52 | 13 | 1 7 3 |
| 69.94 | 18 | 1 3 5 |

For U2InPt2, a cell relaxed with GGA-PBE gives the theoretical XRD peak list in this record (a wavelength of 1.5418 Å).

Atomic structure:
a b c (Å): 7.7845 7.7845 7.2512
angles (deg): 90.00 90.00 90.00
Space group P4_2/mnm (No. 136)
Asymmetric unit:
U1 0.1488 0.1488 0.0000 x4
U2 0.1824 0.1824 0.5000 x4
In1 0.0000 0.5000 0.2500 x4
Pt1 0.1357 0.8643 0.2818 x8

Main lines, by angle (15 to 90 degrees two-theta):
| 2θ/deg | intensity | index |
| --- | --- | --- |
| 16.10 | 13 | 1 1 0 |
| 33.79 | 14 | 2 0 2 |
| 35.76 | 100 | 2 1 2 |
| 36.50 | 40 | 3 1 0 |
| 49.69 | 9 | 3 3 0 |
| 50.33 | 11 | 0 0 4 |
| 54.82 | 12 | 4 1 2 |
| 63.76 | 13 | 3 1 4 |
| 70.08 | 16 | 5 2 2 |
| 72.20 | 8 | 4 3 3 |

For InReS, a cell relaxed with GGA-PBE gives the theoretical XRD peak list in this record (a wavelength of 1.5418 Å).

Atomic structure:
a b c (Å): 6.5737 3.0928 6.6750
angles (deg): 90.00 112.29 90.00
Space group Pm (No. 6)
Asymmetric unit:
In1 0.0000 0.0000 0.0000 x1
In2 0.0101 0.5000 0.5090 x1
Re1 0.3321 0.0000 0.8445 x1
Re2 0.6843 0.5000 0.0927 x1
S1 0.5054 0.0000 0.2268 x1
S2 0.5175 0.5000 0.7113 x1

Main lines, by angle (15 to 90 degrees two-theta):
| 2θ/deg | intensity | index |
| --- | --- | --- |
| 16.11 | 100 | 1 0 -1 |
| 32.37 | 23 | 0 1 1 |
| 32.52 | 65 | 2 0 -2 |
| 33.23 | 20 | 1 1 -1 |
| 37.32 | 41 | 1 0 2 |
| 37.96 | 34 | 1 1 1 |
| 40.18 | 52 | 2 1 -1 |
| 41.30 | 32 | 0 1 2 |
| 44.69 | 19 | 3 0 0 |
| 50.57 | 31 | 1 1 -3 |

For YIn2Re, a cell relaxed with GGA-PBE gives the theoretical XRD peak list in this record (a wavelength of 1.5418 Å).

Atomic structure:
a b c (Å): 6.9772 6.9772 6.9772
angles (deg): 90.00 90.00 90.00
Space group F-43m (No. 216)
Asymmetric unit:
Y1 0.0000 0.0000 0.0000 x4
In1 0.0000 0.0000 0.5000 x4
In2 0.2500 0.2500 0.7500 x4
Re1 0.2500 0.2500 0.2500 x4

Main lines, by angle (15 to 90 degrees two-theta):
| 2θ/deg | intensity | index |
| --- | --- | --- |
| 22.07 | 5 | 1 1 1 |
| 25.53 | 4 | 2 0 0 |
| 36.42 | 100 | 2 2 0 |
| 42.99 | 3 | 3 1 1 |
| 45.01 | 1 | 2 2 2 |
| 52.46 | 17 | 4 0 0 |
| 59.22 | 2 | 4 2 0 |
| 65.54 | 35 | 4 2 2 |
| 77.37 | 11 | 4 4 0 |
| 88.66 | 16 | 6 2 0 |

For ZnIn2Se2S2, a cell relaxed with GGA-PBE gives the theoretical XRD peak list in this record (a wavelength of 1.5418 Å).

Atomic structure:
a b c (Å): 5.6546 5.6796 6.9721
angles (deg): 112.98 113.81 90.03
Space group P1 (No. 1)
Asymmetric unit:
Zn1 0.0000 0.0000 0.0000 x1
In1 0.5008 0.4848 0.0010 x1
In2 0.7397 0.2393 0.5003 x1
Se1 0.1281 0.6418 0.7322 x1
Se2 0.9178 0.8580 0.2680 x1
S1 0.3501 0.3638 0.2487 x1
S2 0.6213 0.0954 0.7529 x1

Main lines, by angle (15 to 90 degrees two-theta):
| 2θ/deg | intensity | index |
| --- | --- | --- |
| 17.50 | 43 | 0 1 -1 |
| 26.91 | 100 | 1 1 0 |
| 27.28 | 79 | 1 -1 1 |
| 28.29 | 15 | 0 1 -2 |
| 36.40 | 15 | 1 -2 1 |
| 44.32 | 22 | 0 2 1 |
| 44.90 | 41 | 2 0 -3 |
| 45.26 | 58 | 2 2 -2 |
| 53.14 | 26 | 1 1 -4 |
| 53.76 | 28 | 3 1 -3 |

For ZnIn2SeS3, a cell relaxed with GGA-PBE gives the theoretical XRD peak list in this record (a wavelength of 1.5418 Å).

Atomic structure:
a b c (Å): 5.5924 5.6122 6.8751
angles (deg): 113.25 113.17 90.76
Space group P1 (No. 1)
Asymmetric unit:
Zn1 0.0000 0.0000 0.0000 x1
In1 0.5070 0.4906 0.9971 x1
In2 0.7458 0.2354 0.4914 x1
Se1 0.1353 0.6467 0.7271 x1
S1 0.3560 0.3713 0.2506 x1
S2 0.6221 0.0917 0.7458 x1
S3 0.9016 0.8653 0.2505 x1

Main lines, by angle (15 to 90 degrees two-theta):
| 2θ/deg | intensity | index |
| --- | --- | --- |
| 17.58 | 11 | 0 1 0 |
| 17.72 | 26 | 1 0 -1 |
| 27.33 | 100 | 1 1 0 |
| 27.74 | 26 | 1 1 -2 |
| 28.54 | 15 | 1 0 -2 |
| 45.21 | 29 | 2 0 1 |
| 45.49 | 14 | 2 -2 0 |
| 45.67 | 26 | 2 0 -3 |
| 46.14 | 12 | 2 2 -2 |
| 53.97 | 10 | 1 1 -4 |

For Tb3In5S12, a cell relaxed with GGA-PBE gives the theoretical XRD peak list in this record (a wavelength of 1.5418 Å).

Atomic structure:
a b c (Å): 10.9977 3.9147 21.4121
angles (deg): 90.00 96.01 90.00
Space group P2_1/m (No. 11)
Asymmetric unit:
Tb1 0.0280 0.2500 0.4120 x2
Tb2 0.0874 0.7500 0.7649 x2
Tb3 0.2845 0.7500 0.2847 x2
In1 0.1641 0.7500 0.1131 x2
In2 0.2414 0.2500 0.9412 x2
In3 0.3490 0.7500 0.4723 x2
In4 0.3526 0.2500 0.6673 x2
In5 0.4570 0.7500 0.8264 x2
S1 0.0349 0.7500 0.3157 x2
S2 0.0618 0.2500 0.8588 x2
S3 0.1234 0.7500 0.4910 x2
S4 0.1312 0.2500 0.0367 x2
S5 0.1619 0.2500 0.2105 x2
S6 0.2023 0.7500 0.6513 x2
S7 0.2768 0.2500 0.3866 x2
S8 0.2922 0.2500 0.7833 x2
S9 0.3826 0.7500 0.9393 x2
S10 0.3895 0.7500 0.1590 x2
S11 0.4213 0.2500 0.5525 x2
S12 0.4843 0.2500 0.2896 x2

Main lines, by angle (15 to 90 degrees two-theta):
| 2θ/deg | intensity | index |
| --- | --- | --- |
| 21.53 | 58 | 2 0 3 |
| 24.34 | 77 | 3 0 -1 |
| 25.29 | 74 | 1 1 -2 |
| 25.56 | 100 | 1 0 -6 |
| 28.60 | 45 | 2 1 1 |
| 32.69 | 56 | 1 1 5 |
| 34.10 | 46 | 0 1 6 |
| 43.36 | 66 | 3 1 -7 |
| 45.22 | 47 | 4 1 4 |
| 46.39 | 59 | 0 2 0 |